The following is a theoretical powder diffractogram of GePd17. It was derived from a structure optimized by DFT (PBE), using a wavelength of 1.5418 Å.
Peak positions follow from Bragg's law for the DFT cell and can differ from measured ones.

Peak list (10 most intense, 10° ≤ 2θ ≤ 90°, low angle first)
2θ/deg  Rel. int.  h k l
10.48  25.0  0 0 4
37.27  35.8  0 0 14
39.00  39.2  1 2 4
39.85  100.0  1 2 5
40.00  92.3  2 0 -5
44.78  35.3  1 2 -9
46.37  61.1  1 2 -10
46.58  30.1  2 0 10
67.86  33.2  1 2 20
81.79  24.1  4 0 5

Crystal structure
```
data_GePd17
_chemical_formula_sum 'Ge2 Pd34'
_space_group_name_H-M_alt 'P 1 21/m 1'
_space_group_IT_number 11
_space_group_name_Hall '-P 2yb'
_cell_length_a 4.7835
_cell_length_b 5.5533
_cell_length_c 33.7802
_cell_angle_alpha 90.00
_cell_angle_beta 90.13
_cell_angle_gamma 90.00
loop_
_atom_site_label
_atom_site_fract_x
_atom_site_fract_y
_atom_site_fract_z
Ge1 0.1670 0.2500 0.2669
Pd1 0.0000 0.0000 0.0000
Pd2 0.9996 0.0000 0.2056
Pd3 0.1663 0.7500 0.8632
Pd4 0.1668 0.2500 0.0681
Pd5 0.1672 0.7500 0.0684
Pd6 0.1675 0.2500 0.8637
Pd7 0.1683 0.7500 0.2736
Pd8 0.3324 0.0002 0.1366
Pd9 0.3333 0.9997 0.9318
Pd10 0.3336 0.5029 0.7262
Pd11 0.4970 0.2500 0.2054
Pd12 0.4975 0.2500 0.7953
Pd13 0.4993 0.7500 0.0000
```